Starting from a structure optimized by DFT (GGA-PBE), the powder X-ray diffraction pattern of Al5Rh2 was simulated for Cu Kα.

The 6 most intense peaks (2θ from 15° to 90°), by intensity:
42.40°, I = 100.0
25.61°, I = 77.2
44.06°, I = 48.8
26.64°, I = 44.6
41.33°, I = 42.7
25.36°, I = 38.1

Structure:
abc: 4.2704 4.2704 6.9906
angles: 104.39 104.39 61.54
Atoms (fractional coordinates):
Al: 0.0000 0.0000 0.0000
Al: 0.1421 0.1421 0.4008
Al: 0.4111 0.4111 0.1870
Al: 0.5889 0.5889 0.8130
Al: 0.8579 0.8579 0.5992
Rh: 0.2367 0.2367 0.7755
Rh: 0.7633 0.7633 0.2245